No. 1
For LiSi2B, a cell relaxed with GGA-PBE gives the simulated X-ray powder pattern in this record (Cu Kα).
Peak positions follow from Bragg's law for the DFT cell and can differ from measured ones.

Cell lengths 3.5648, 6.3027, 6.3027 Å; angles 131.04, 90.00, 90.00 degrees
Atoms (fractional coordinates):
Li1 0.2500 0.0903 0.9097
Li2 0.7500 0.9097 0.0903
Si1 0.2500 0.0420 0.4709
Si2 0.2500 0.5175 0.6499
Si3 0.7500 0.4709 0.0420
Si4 0.7500 0.6499 0.5175
B1 0.2500 0.6610 0.0575
B2 0.7500 0.0575 0.6610

Peak list (6 most intense, 10° ≤ 2θ ≤ 80°, in order of rising 2θ)
d = 4.754 Å, 2θ 18.67, intensity 68
d = 3.028 Å, 2θ 29.50, intensity 64
d = 2.852 Å, 2θ 31.36, intensity 31
d = 2.377 Å, 2θ 37.85, intensity 56
d = 2.333 Å, 2θ 38.59, intensity 100
d = 1.698 Å, 2θ 54.01, intensity 40

No. 2
For HoTmSc6, a cell relaxed with GGA-PBE gives the simulated X-ray powder pattern in this record (Cu Kα).
Peak positions follow from Bragg's law for the DFT cell and can differ from measured ones.

Cell lengths 5.2750, 6.7574, 6.7574 Å; angles 60.02, 90.00, 90.00 degrees
Atoms (fractional coordinates):
Ho1 0.0000 0.0000 0.0000
Tm1 0.5000 0.6673 0.6673
Sc1 0.0000 0.0064 0.4968
Sc2 0.0000 0.4968 0.0064
Sc3 0.0000 0.4976 0.4976
Sc4 0.5000 0.1696 0.1696
Sc5 0.5000 0.1705 0.6607
Sc6 0.5000 0.6607 0.1705

Peak list (6 most intense, 10° ≤ 2θ ≤ 80°, in order of rising 2θ)
d = 3.918 Å, 2θ 22.69, intensity 49
d = 3.379 Å, 2θ 26.38, intensity 22
d = 2.926 Å, 2θ 30.55, intensity 24
d = 2.638 Å, 2θ 33.99, intensity 24
d = 2.559 Å, 2θ 35.07, intensity 100
d = 1.423 Å, 2θ 65.62, intensity 20